# Li2V3CrO8
Calculated X-ray diffraction stick pattern, Cu Kα (λ = 1.5418 Å). Input: a crystal structure in Alexandria, relaxed with GGA+U.
Neutral-atom scattering factors, no anomalous dispersion.

Structure:
```
data_Li2V3CrO8
_chemical_formula_sum 'Li8 V12 Cr4 O32'
_cell_length_a 8.325
_cell_length_b 8.491
_cell_length_c 8.515
_cell_angle_alpha 90.00
_cell_angle_beta 90.39
_cell_angle_gamma 90.00
_symmetry_space_group_name_H-M 'P 1 21 1'
_symmetry_Int_Tables_number 4
loop_
_symmetry_equiv_pos_as_xyz
'x,y,z'
'-x,y+1/2,-z'
loop_
_atom_site_label
_atom_site_type_symbol
_atom_site_fract_x
_atom_site_fract_y
_atom_site_fract_z
Li1 Li 0.001 0.000 0.249
Li2 Li 0.248 0.750 0.499
Li3 Li 0.251 0.249 0.998
Li4 Li 0.498 0.007 0.749
V1 V 0.124 0.374 0.377
V2 V 0.125 0.623 0.123
V3 V 0.126 0.880 0.875
V4 V 0.373 0.624 0.875
V5 V 0.379 0.378 0.624
V6 V 0.381 0.132 0.375
Cr1 Cr 0.125 0.127 0.624
Cr2 Cr 0.377 0.876 0.122
O1 O 0.104 0.376 0.139
O2 O 0.115 0.890 0.638
O3 O 0.117 0.110 0.861
O4 O 0.118 0.601 0.363
O5 O 0.132 0.149 0.385
O6 O 0.135 0.865 0.107
O7 O 0.141 0.366 0.612
O8 O 0.142 0.638 0.885
O9 O 0.357 0.863 0.884
O10 O 0.364 0.371 0.390
O11 O 0.364 0.640 0.108
O12 O 0.365 0.144 0.610
O13 O 0.376 0.611 0.641
O14 O 0.380 0.391 0.860
O15 O 0.395 0.886 0.361
O16 O 0.398 0.118 0.134
```

Peak list (6 most intense, 10° ≤ 2θ ≤ 90°, in order of rising 2θ)
- hkl 1 1 -1, 2θ = 18.20°, d 4.875, I = 100.0
- hkl 1 3 1, 2θ = 35.11°, d 2.556, I = 23.0
- hkl 0 0 4, 2θ = 42.47°, d 2.129, I = 19.8
- hkl 0 4 0, 2θ = 42.59°, d 2.123, I = 19.5
- hkl 4 0 0, 2θ = 43.48°, d 2.081, I = 18.3
- hkl 0 4 4, 2θ = 61.72°, d 1.503, I = 11.6